# 1
The following is a theoretical XRD peak list of GaSn3. It was derived from DFT lattice parameters and positions (GGA-PBE), using Cu Kα (λ = 1.5418 Å).
Peak positions follow from Bragg's law for the DFT cell and can differ from measured ones.

Atomic structure:
```
data_GaSn3
_chemical_formula_sum 'Ga2 Sn6'
_symmetry_space_group_name_H-M 'I 4/m m m'
_symmetry_Int_Tables_number 139
_symmetry_space_group_name_Hall '-I 4 2'
_cell_length_a 4.639
_cell_length_b 4.639
_cell_length_c 9.802
_cell_angle_alpha 90.00
_cell_angle_beta 90.00
_cell_angle_gamma 90.00
loop_
_atom_site_label
_atom_site_fract_x
_atom_site_fract_y
_atom_site_fract_z
_atom_site_occupancy
Ga1 0.000 0.000 0.000 1
Sn1 0.000 0.000 0.500 1
Sn2 0.000 0.500 0.250 1
```

Main lines, in order of rising 2θ (2θ from 10° to 90°):
| 2θ (°) | I_rel | index |
| --- | --- | --- |
| 32.86 | 100 | 1 1 2 |
| 36.67 | 19 | 0 0 4 |
| 38.83 | 32 | 2 0 0 |
| 54.47 | 24 | 2 0 4 |
| 56.07 | 11 | 2 2 0 |
| 63.63 | 15 | 1 1 6 |
| 66.54 | 27 | 3 1 2 |
| 68.89 | 12 | 2 2 4 |
| 83.32 | 4 | 4 0 0 |
| 89.87 | 13 | 3 1 6 |



# 2
The following is a theoretical XRD peak list of GaSn3. It was derived from DFT lattice parameters and positions (GGA-PBE), using Cu Kα (λ = 1.5418 Å).
Peak positions follow from Bragg's law for the DFT cell and can differ from measured ones.

Atomic structure:
```
data_GaSn3
_chemical_formula_sum 'Ga2 Sn6'
_symmetry_space_group_name_H-M 'P 63/m m c'
_symmetry_Int_Tables_number 194
_symmetry_space_group_name_Hall '-P 6c 2c'
_cell_length_a 6.5840
_cell_length_b 6.5840
_cell_length_c 5.5184
_cell_angle_alpha 90.00
_cell_angle_beta 90.00
_cell_angle_gamma 120.00
loop_
_atom_site_label
_atom_site_fract_x
_atom_site_fract_y
_atom_site_fract_z
_atom_site_occupancy
Ga1 0.3333 0.6667 0.2500 1
Sn1 0.1691 0.3382 0.7500 1
```

Main lines, in order of rising 2θ (2θ from 10° to 90°):
| 2θ (°) | I_rel | index |
| --- | --- | --- |
| 22.42 | 4 | 1 0 1 |
| 31.38 | 23 | 2 0 0 |
| 32.45 | 28 | 0 0 2 |
| 35.44 | 100 | 2 0 1 |
| 45.76 | 16 | 2 0 2 |
| 55.86 | 18 | 2 2 0 |
| 59.84 | 23 | 2 0 3 |
| 66.10 | 22 | 2 2 2 |
| 67.92 | 19 | 0 0 4 |
| 86.35 | 9 | 4 0 3 |